This entry pairs a crystal structure of Tl5ZnHg5 with its theoretical powder diffractogram. Radiation: copper Kα. Structure: a cell relaxed with PBE.

The 10 most intense peaks (2θ from 10° to 90°), in order of rising 2θ:
Position (°2θ)	Rel. int.	h k l
29.8	46.9	1 2 1
30.1	57.3	1 1 4
32.3	20.5	0 2 4
32.8	25.6	0 0 6
33.6	100.0	1 2 3
34.2	49.0	2 0 0
48.1	17.9	2 0 6
48.5	15.3	0 4 0
60.7	15.8	2 4 0
60.9	18.5	3 2 3

Atomic structure:
Cell: 5.2412 7.5123 16.3841 Å, 90.00 90.00 90.00°
Space group Immm (No. 71)
Unique sites:
Tl 0.0000 0.0000 0.0000 [2 per cell]
Tl 0.0000 0.0000 0.2982 [4 per cell]
Tl 0.0000 0.5000 0.3580 [4 per cell]
Zn 0.0000 0.5000 0.0000 [2 per cell]
Hg 0.0000 0.0000 0.5000 [2 per cell]
Hg 0.0000 0.2784 0.1480 [8 per cell]


This entry pairs a crystal structure of Zr3Tl2Hg with its theoretical powder diffractogram. Radiation: copper Kα. Structure: a cell relaxed with PBE.

The 10 most intense peaks (2θ from 10° to 90°), in order of rising 2θ:
Position (°2θ)	Rel. int.	h k l
20.5	11.6	0 0 3
27.8	11.5	1 0 0
34.7	100.0	1 0 3
39.7	34.9	1 1 0
41.6	15.1	0 0 6
57.3	11.9	2 0 0
58.8	21.8	1 1 6
68.8	27.5	2 1 3
71.5	12.0	1 0 9
73.3	11.4	2 0 6

Atomic structure:
Cell: 3.2138 3.2138 13.0241 Å, 90.00 90.00 90.00°
Space group P4/mmm (No. 123)
Unique sites:
Zr 0.0000 0.0000 0.0000 [1 per cell]
Zr 0.0000 0.0000 0.3386 [2 per cell]
Tl 0.5000 0.5000 0.1690 [2 per cell]
Hg 0.5000 0.5000 0.5000 [1 per cell]


This entry pairs a crystal structure of Zr5TlHg2 with its theoretical powder diffractogram. Radiation: copper Kα. Structure: a cell relaxed with PBE.

The 10 most intense peaks (2θ from 10° to 90°), in order of rising 2θ:
Position (°2θ)	Rel. int.	h k l
24.9	11.1	1 1 0
35.6	51.9	2 0 0
36.0	100.0	1 1 4
51.2	18.4	2 2 0
52.5	8.4	0 0 8
64.1	36.9	3 1 4
65.0	17.5	2 0 8
76.3	11.0	2 2 8
86.1	8.4	4 2 0
88.5	8.5	1 1 12

Atomic structure:
Cell: 5.0497 5.0497 13.9473 Å, 90.00 90.00 90.00°
Space group I4/mmm (No. 139)
Unique sites:
Zr 0.0000 0.0000 0.0000 [2 per cell]
Zr 0.0000 0.5000 0.1248 [8 per cell]
Tl 0.0000 0.0000 0.5000 [2 per cell]
Hg 0.0000 0.0000 0.2461 [4 per cell]


This entry pairs a crystal structure of Zr2TlHg2 with its theoretical powder diffractogram. Radiation: copper Kα. Structure: a cell relaxed with PBE.

The 10 most intense peaks (2θ from 10° to 90°), in order of rising 2θ:
Position (°2θ)	Rel. int.	h k l
23.7	13.0	1 1 1
33.9	100.0	1 0 2
35.5	88.3	1 2 1
37.6	38.2	0 1 2
41.3	29.2	2 1 1
41.9	28.0	0 2 -1
55.4	12.4	0 1 -3
64.6	15.7	1 1 4
67.5	14.3	1 3 3
70.7	12.1	3 2 0

Atomic structure:
Cell: 4.3684 5.2666 5.8129 Å, 79.02 67.96 65.62°
Space group P-1 (No. 2)
Unique sites:
Zr 0.1021 0.0959 0.1981 [2 per cell]
Tl 0.5000 0.5000 0.0000 [1 per cell]
Hg 0.3046 0.2919 0.5995 [2 per cell]